No. 1
Structure and calculated X-ray powder pattern of Ca4Tb3S8 (DFT lattice parameters and positions (PBE); Cu Kα X-rays).
Peak positions follow from Bragg's law for the DFT cell and can differ from measured ones.

Main lines, most intense first (10° ≤ 2θ ≤ 90°):
| two_theta | intensity |
| --- | --- |
| 45.54 | 100 |
| 45.75 | 99 |
| 31.66 | 96 |
| 22.32 | 96 |
| 31.85 | 95 |
| 31.99 | 94 |
| 27.48 | 91 |
| 15.84 | 90 |
| 13.63 | 54 |
| 56.66 | 34 |

Crystal structure
a = 7.9295 Å, b = 7.9295 Å, c = 7.9398 Å
α = 119.71°, β = 119.71°, γ = 90.25°
Atoms (fractional coordinates):
Ca 0.0000 0.0000 0.0000
Ca 0.0000 0.5000 0.0000
Ca 0.5000 0.0000 0.0000
Ca 0.5000 0.5000 0.5000
Tb 0.0000 0.5000 0.5000
Tb 0.5000 0.0000 0.5000
Tb 0.5000 0.5000 0.0000
S 0.2513 0.7487 0.5000
S 0.2524 0.2524 0.5057
S 0.2517 0.7483 0.0000
S 0.2587 0.2587 0.0078
S 0.7413 0.7413 0.9922
S 0.7483 0.2517 0.0000
S 0.7476 0.7476 0.4943
S 0.7487 0.2513 0.5000



No. 2
Structure and calculated X-ray powder pattern of CaTb4Y3S8 (DFT lattice parameters and positions (PBE); Cu Kα X-rays).
Peak positions follow from Bragg's law for the DFT cell and can differ from measured ones.

Main lines, most intense first (10° ≤ 2θ ≤ 90°):
| two_theta | intensity |
| --- | --- |
| 32.19 | 100 |
| 46.17 | 71 |
| 27.79 | 60 |
| 76.63 | 31 |
| 54.74 | 29 |
| 57.40 | 24 |
| 85.55 | 24 |
| 13.79 | 17 |
| 74.35 | 12 |
| 26.58 | 12 |

Crystal structure
a = 7.8658 Å, b = 7.8658 Å, c = 7.8658 Å
α = 59.98°, β = 59.98°, γ = 59.98°
Atoms (fractional coordinates):
Ca 0.0000 0.0000 0.0000
Tb 0.0000 0.0000 0.5000
Tb 0.0000 0.5000 0.0000
Tb 0.5000 0.0000 0.0000
Tb 0.5000 0.5000 0.5000
Y 0.0000 0.5000 0.5000
Y 0.5000 0.0000 0.5000
Y 0.5000 0.5000 0.0000
S 0.2503 0.2503 0.2503
S 0.2500 0.2500 0.7494
S 0.2500 0.7494 0.2500
S 0.2506 0.7500 0.7500
S 0.7494 0.2500 0.2500
S 0.7500 0.2506 0.7500
S 0.7500 0.7500 0.2506
S 0.7497 0.7497 0.7497



No. 3
Structure and calculated X-ray powder pattern of Ca3TeS (DFT lattice parameters and positions (PBE); Cu Kα X-rays).
Peak positions follow from Bragg's law for the DFT cell and can differ from measured ones.

Main lines, most intense first (10° ≤ 2θ ≤ 90°):
| two_theta | intensity |
| --- | --- |
| 28.79 | 100 |
| 33.36 | 86 |
| 23.42 | 71 |
| 47.90 | 58 |
| 56.85 | 41 |
| 41.16 | 31 |
| 79.86 | 24 |
| 59.63 | 19 |
| 89.35 | 19 |
| 64.96 | 16 |

Crystal structure
a = 5.3715 Å, b = 5.3715 Å, c = 5.3715 Å
α = 90.00°, β = 90.00°, γ = 90.00°
Atoms (fractional coordinates):
Ca 0.0000 0.0000 0.5000
Ca 0.0000 0.5000 0.0000
Ca 0.5000 0.0000 0.0000
Te 0.5000 0.5000 0.5000
S 0.0000 0.0000 0.0000